(1)
The following is a theoretical powder XRD pattern of Mg8Hg2Pd. It was derived from a structure optimized by DFT (PBE), using Cu Kα X-rays.
No peak broadening, texture or thermal motion is included.

Top 10 peaks for 2θ from 10° to 90°, in order of rising 2θ:
| 2theta | I (rel.) | index |
| --- | --- | --- |
| 22.25 | 37 | 2 0 1 |
| 23.01 | 100 | 4 0 -1 |
| 26.35 | 48 | 3 1 0 |
| 26.54 | 20 | 2 0 -2 |
| 37.26 | 42 | 1 1 2 |
| 38.06 | 24 | 0 2 0 |
| 38.23 | 34 | 5 1 -2 |
| 44.55 | 25 | 7 1 -1 |
| 44.80 | 20 | 3 1 -3 |
| 47.02 | 15 | 8 0 -2 |

Structural model:
```
data_Mg8Hg2Pd
_chemical_formula_sum 'Mg16 Hg4 Pd2'
_symmetry_space_group_name_H-M 'C 1 2/m 1'
_symmetry_Int_Tables_number 12
_cell_length_a 15.793
_cell_length_b 4.729
_cell_length_c 6.720
_cell_angle_alpha 90.00
_cell_angle_beta 113.14
_cell_angle_gamma 90.00
loop_
_symmetry_equiv_pos_as_xyz
'x,y,z'
'-x,-y,-z'
'-x,y,-z'
'x,-y,z'
'x+1/2,y+1/2,z'
'-x+1/2,-y+1/2,-z'
'-x+1/2,y+1/2,-z'
'x+1/2,-y+1/2,z'
loop_
_atom_site_label
_atom_site_fract_x
_atom_site_fract_y
_atom_site_fract_z
Mg1 0.018 0.000 0.288
Mg2 0.100 0.500 0.927
Mg3 0.156 0.500 0.427
Mg4 0.187 0.000 0.754
Hg1 0.180 0.000 0.180
Pd1 0.000 0.500 0.500
```

=====

(2)
The following is a theoretical powder XRD pattern of PuMgHgPd. It was derived from a structure optimized by DFT (PBE), using Cu Kα X-rays.
No peak broadening, texture or thermal motion is included.

Top 10 peaks for 2θ from 10° to 90°, in order of rising 2θ:
| 2theta | I (rel.) | index |
| --- | --- | --- |
| 21.77 | 36 | 1 1 1 |
| 35.92 | 100 | 2 2 0 |
| 42.39 | 21 | 3 1 1 |
| 51.71 | 18 | 4 0 0 |
| 56.75 | 9 | 3 3 1 |
| 64.56 | 37 | 4 2 2 |
| 69.01 | 7 | 5 1 1 |
| 76.15 | 12 | 4 4 0 |
| 80.33 | 7 | 5 3 1 |
| 87.18 | 17 | 6 2 0 |

Structural model:
```
data_PuMgHgPd
_chemical_formula_sum 'Pu4 Mg4 Hg4 Pd4'
_symmetry_space_group_name_H-M 'F -4 3 m'
_symmetry_Int_Tables_number 216
_symmetry_space_group_name_Hall 'F -4 2 3'
_cell_length_a 7.071
_cell_length_b 7.071
_cell_length_c 7.071
_cell_angle_alpha 90.00
_cell_angle_beta 90.00
_cell_angle_gamma 90.00
loop_
_atom_site_label
_atom_site_fract_x
_atom_site_fract_y
_atom_site_fract_z
Pu1 0.000 0.000 0.000
Mg1 0.000 0.000 0.500
Hg1 0.250 0.250 0.250
Pd1 0.250 0.250 0.750
```

=====

(3)
The following is a theoretical powder XRD pattern of Pm3Mg9Hg2. It was derived from a structure optimized by DFT (PBE), using Cu Kα X-rays.
No peak broadening, texture or thermal motion is included.

Top 10 peaks for 2θ from 10° to 90°, in order of rising 2θ:
| 2theta | I (rel.) | index |
| --- | --- | --- |
| 19.38 | 34 | 1 0 1 |
| 19.59 | 100 | 1 1 0 |
| 24.13 | 39 | 0 3 1 |
| 31.60 | 63 | 0 3 3 |
| 32.11 | 94 | 1 2 3 |
| 32.78 | 62 | 1 3 2 |
| 34.88 | 53 | 1 1 4 |
| 36.50 | 44 | 2 0 0 |
| 36.74 | 39 | 1 4 1 |
| 49.04 | 38 | 2 3 3 |

Structural model:
```
data_Pm3Mg9Hg2
_chemical_formula_sum 'Pm6 Mg18 Hg4'
_symmetry_space_group_name_H-M 'I m m m'
_symmetry_Int_Tables_number 71
_symmetry_space_group_name_Hall '-I 2 2'
_cell_length_a 4.923
_cell_length_b 11.580
_cell_length_c 12.500
_cell_angle_alpha 90.00
_cell_angle_beta 90.00
_cell_angle_gamma 90.00
loop_
_atom_site_label
_atom_site_fract_x
_atom_site_fract_y
_atom_site_fract_z
Pm1 0.000 0.000 0.000
Pm2 0.000 0.000 0.292
Mg1 0.000 0.274 0.141
Mg2 0.000 0.372 0.365
Mg3 0.000 0.500 0.000
Hg1 0.000 0.166 0.500
```

=====

(4)
The following is a theoretical powder XRD pattern of Pm4Mg5Hg2. It was derived from a structure optimized by DFT (PBE), using Cu Kα X-rays.
No peak broadening, texture or thermal motion is included.

Top 10 peaks for 2θ from 10° to 90°, in order of rising 2θ:
| 2theta | I (rel.) | index |
| --- | --- | --- |
| 10.92 | 100 | 1 0 0 |
| 13.30 | 21 | 1 0 -1 |
| 32.02 | 27 | 1 1 -2 |
| 32.77 | 38 | 1 1 2 |
| 33.70 | 83 | 3 0 -1 |
| 34.63 | 35 | 2 0 3 |
| 34.79 | 35 | 1 0 -4 |
| 35.90 | 33 | 0 1 3 |
| 37.15 | 32 | 2 1 -2 |
| 63.29 | 21 | 3 2 -1 |

Structural model:
```
data_Pm4Mg5Hg2
_chemical_formula_sum 'Pm4 Mg5 Hg2'
_symmetry_space_group_name_H-M 'P 1 2/m 1'
_symmetry_Int_Tables_number 10
_cell_length_a 8.119
_cell_length_b 3.525
_cell_length_c 10.674
_cell_angle_alpha 90.00
_cell_angle_beta 93.63
_cell_angle_gamma 90.00
loop_
_symmetry_equiv_pos_as_xyz
'x,y,z'
'-x,-y,-z'
'-x,y,-z'
'x,-y,z'
loop_
_atom_site_label
_atom_site_fract_x
_atom_site_fract_y
_atom_site_fract_z
Pm1 0.158 0.000 0.382
Pm2 0.266 0.000 0.948
Mg1 0.201 0.500 0.665
Mg2 0.436 0.500 0.206
Mg3 0.500 0.500 0.500
Hg1 0.060 0.500 0.142
```

=====

(5)
The following is a theoretical powder XRD pattern of PmMg4Hg8. It was derived from a structure optimized by DFT (PBE), using Cu Kα X-rays.
No peak broadening, texture or thermal motion is included.

Top 10 peaks for 2θ from 10° to 90°, in order of rising 2θ:
| 2theta | I (rel.) | index |
| --- | --- | --- |
| 25.76 | 48 | 2 2 0 |
| 28.67 | 67 | 0 0 2 |
| 30.96 | 50 | 3 0 1 |
| 36.11 | 100 | 3 2 1 |
| 36.75 | 32 | 4 0 0 |
| 38.92 | 51 | 2 2 2 |
| 40.70 | 32 | 4 1 1 |
| 47.26 | 21 | 4 0 2 |
| 55.76 | 29 | 3 2 3 |
| 65.78 | 41 | 6 3 1 |

Structural model:
```
data_PmMg4Hg8
_chemical_formula_sum 'Pm2 Mg8 Hg16'
_symmetry_space_group_name_H-M 'I 4/m m m'
_symmetry_Int_Tables_number 139
_symmetry_space_group_name_Hall '-I 4 2'
_cell_length_a 9.781
_cell_length_b 9.781
_cell_length_c 6.228
_cell_angle_alpha 90.00
_cell_angle_beta 90.00
_cell_angle_gamma 90.00
loop_
_atom_site_label
_atom_site_fract_x
_atom_site_fract_y
_atom_site_fract_z
Pm1 0.000 0.000 0.000
Mg1 0.250 0.250 0.250
Hg1 0.000 0.217 0.500
Hg2 0.000 0.336 0.000
```

=====

(6)
The following is a theoretical powder XRD pattern of Pm4Mg3Hg2. It was derived from a structure optimized by DFT (PBE), using Cu Kα X-rays.
No peak broadening, texture or thermal motion is included.

Top 10 peaks for 2θ from 10° to 90°, in order of rising 2θ:
| 2theta | I (rel.) | index |
| --- | --- | --- |
| 17.50 | 18 | 0 0 2 |
| 21.10 | 51 | 1 0 1 |
| 32.83 | 91 | 1 0 3 |
| 33.54 | 100 | 1 1 0 |
| 38.07 | 16 | 1 1 2 |
| 47.63 | 32 | 0 2 3 |
| 59.51 | 33 | 2 1 3 |
| 59.96 | 19 | 3 0 0 |
| 65.37 | 15 | 1 1 6 |
| 79.95 | 14 | 1 3 3 |

Structural model:
```
data_Pm4Mg3Hg2
_chemical_formula_sum 'Pm4 Mg3 Hg2'
_symmetry_space_group_name_H-M 'P -3 m 1'
_symmetry_Int_Tables_number 164
_symmetry_space_group_name_Hall '-P 3 2"'
_cell_length_a 5.3443
_cell_length_b 5.3443
_cell_length_c 10.1330
_cell_angle_alpha 90.00
_cell_angle_beta 90.00
_cell_angle_gamma 120.00
loop_
_atom_site_label
_atom_site_fract_x
_atom_site_fract_y
_atom_site_fract_z
Pm1 0.0000 0.0000 0.1693
Pm2 0.3333 0.6667 0.3693
Mg1 0.0000 0.0000 0.5000
Mg2 0.3333 0.6667 0.9917
Hg1 0.3333 0.6667 0.6819
```

=====

(7)
The following is a theoretical powder XRD pattern of PmMg3Hg3. It was derived from a structure optimized by DFT (PBE), using Cu Kα X-rays.
No peak broadening, texture or thermal motion is included.

Top 10 peaks for 2θ from 10° to 90°, in order of rising 2θ:
| 2theta | I (rel.) | index |
| --- | --- | --- |
| 11.66 | 54 | 1 0 0 |
| 27.08 | 40 | 1 1 1 |
| 29.57 | 17 | 2 0 1 |
| 31.18 | 32 | 1 2 0 |
| 35.99 | 25 | 0 0 2 |
| 36.12 | 100 | 1 2 1 |
| 48.35 | 19 | 1 2 2 |
| 55.49 | 16 | 4 1 0 |
| 64.79 | 18 | 1 2 3 |
| 67.97 | 31 | 4 1 2 |

Structural model:
```
data_PmMg3Hg3
_chemical_formula_sum 'Pm2 Mg6 Hg6'
_symmetry_space_group_name_H-M 'P 63/m'
_symmetry_Int_Tables_number 176
_symmetry_space_group_name_Hall '-P 6c'
_cell_length_a 8.7633
_cell_length_b 8.7633
_cell_length_c 4.9903
_cell_angle_alpha 90.00
_cell_angle_beta 90.00
_cell_angle_gamma 120.00
loop_
_atom_site_label
_atom_site_fract_x
_atom_site_fract_y
_atom_site_fract_z
Pm1 0.3333 0.6667 0.2500
Mg1 0.0025 0.7726 0.2500
Hg1 0.0787 0.6307 0.7500
```

=====

(8)
The following is a theoretical powder XRD pattern of Pm3MgHg5. It was derived from a structure optimized by DFT (PBE), using Cu Kα X-rays.
No peak broadening, texture or thermal motion is included.

Top 10 peaks for 2θ from 10° to 90°, in order of rising 2θ:
| 2theta | I (rel.) | index |
| --- | --- | --- |
| 11.14 | 13 | 1 0 0 |
| 27.85 | 12 | 0 0 2 |
| 32.96 | 23 | 2 1 1 |
| 33.87 | 100 | 3 0 0 |
| 34.15 | 93 | 1 1 2 |
| 44.40 | 13 | 3 0 2 |
| 48.86 | 31 | 2 2 2 |
| 60.59 | 13 | 3 3 0 |
| 60.77 | 26 | 4 1 2 |
| 68.48 | 27 | 3 0 4 |

Structural model:
```
data_Pm3MgHg5
_chemical_formula_sum 'Pm6 Mg2 Hg10'
_symmetry_space_group_name_H-M 'P 63/m c m'
_symmetry_Int_Tables_number 193
_symmetry_space_group_name_Hall '-P 6c 2'
_cell_length_a 9.1689
_cell_length_b 9.1689
_cell_length_c 6.4058
_cell_angle_alpha 90.00
_cell_angle_beta 90.00
_cell_angle_gamma 120.00
loop_
_atom_site_label
_atom_site_fract_x
_atom_site_fract_y
_atom_site_fract_z
Pm1 0.0000 0.3613 0.2500
Mg1 0.0000 0.0000 0.0000
Hg1 0.0000 0.2974 0.7500
Hg2 0.3333 0.6667 0.0000
```

=====

(9)
The following is a theoretical powder XRD pattern of PrMg9Hg2. It was derived from a structure optimized by DFT (PBE), using Cu Kα X-rays.
No peak broadening, texture or thermal motion is included.

Top 10 peaks for 2θ from 10° to 90°, in order of rising 2θ:
| 2theta | I (rel.) | index |
| --- | --- | --- |
| 17.94 | 100 | 1 1 0 |
| 31.33 | 26 | 3 0 0 |
| 32.22 | 71 | 1 1 1 |
| 36.34 | 47 | 2 2 0 |
| 41.52 | 37 | 3 0 1 |
| 45.56 | 21 | 2 2 1 |
| 48.72 | 17 | 4 1 0 |
| 56.34 | 29 | 4 1 1 |
| 67.42 | 15 | 2 2 2 |
| 74.77 | 14 | 5 2 1 |

Structural model:
```
data_PrMg9Hg2
_chemical_formula_sum 'Pr1 Mg9 Hg2'
_symmetry_space_group_name_H-M 'P 6/m m m'
_symmetry_Int_Tables_number 191
_symmetry_space_group_name_Hall '-P 6 2'
_cell_length_a 9.8900
_cell_length_b 9.8900
_cell_length_c 3.3582
_cell_angle_alpha 90.00
_cell_angle_beta 90.00
_cell_angle_gamma 120.00
loop_
_atom_site_label
_atom_site_fract_x
_atom_site_fract_y
_atom_site_fract_z
Pr1 0.0000 0.0000 0.0000
Mg1 0.0000 0.5000 0.0000
Mg2 0.1834 0.3667 0.5000
Hg1 0.3333 0.6667 0.0000
```

=====

(10)
The following is a theoretical powder XRD pattern of Pr3Mg7Hg4. It was derived from a structure optimized by DFT (PBE), using Cu Kα X-rays.
No peak broadening, texture or thermal motion is included.

Top 10 peaks for 2θ from 10° to 90°, in order of rising 2θ:
| 2theta | I (rel.) | index |
| --- | --- | --- |
| 20.99 | 34 | 0 0 2 |
| 23.94 | 49 | 1 1 1 |
| 24.19 | 36 | 3 1 -1 |
| 26.49 | 31 | 3 1 0 |
| 30.07 | 25 | 2 0 2 |
| 31.46 | 41 | 1 1 2 |
| 32.09 | 100 | 3 1 -3 |
| 32.73 | 22 | 5 1 -1 |
| 37.78 | 57 | 0 2 0 |
| 40.15 | 29 | 3 1 -4 |

Structural model:
```
data_Pr3Mg7Hg4
_chemical_formula_sum 'Pr6 Mg14 Hg8'
_symmetry_space_group_name_H-M 'C 1 2/m 1'
_symmetry_Int_Tables_number 12
_cell_length_a 17.369
_cell_length_b 4.765
_cell_length_c 10.305
_cell_angle_alpha 90.00
_cell_angle_beta 124.77
_cell_angle_gamma 90.00
loop_
_symmetry_equiv_pos_as_xyz
'x,y,z'
'-x,-y,-z'
'-x,y,-z'
'x,-y,z'
'x+1/2,y+1/2,z'
'-x+1/2,-y+1/2,-z'
'-x+1/2,y+1/2,-z'
'x+1/2,-y+1/2,z'
loop_
_atom_site_label
_atom_site_fract_x
_atom_site_fract_y
_atom_site_fract_z
Pr1 0.000 0.000 0.000
Pr2 0.197 0.500 0.703
Mg1 0.000 0.000 0.500
Mg2 0.006 0.500 0.305
Mg3 0.158 0.000 0.427
Mg4 0.176 0.500 0.019
Hg1 0.123 0.000 0.839
Hg2 0.155 0.500 0.267
```

=====

(11)
The following is a theoretical powder XRD pattern of Pr3MgHg12. It was derived from a structure optimized by DFT (PBE), using Cu Kα X-rays.
No peak broadening, texture or thermal motion is included.

Top 10 peaks for 2θ from 10° to 90°, in order of rising 2θ:
| 2theta | I (rel.) | index |
| --- | --- | --- |
| 33.22 | 100 | 1 1 4 |
| 37.94 | 37 | 2 0 0 |
| 39.74 | 14 | 0 0 8 |
| 54.74 | 13 | 2 2 0 |
| 56.10 | 20 | 2 0 8 |
| 62.77 | 3 | 1 1 11 |
| 65.55 | 29 | 3 1 4 |
| 68.00 | 9 | 1 1 12 |
| 69.74 | 11 | 2 2 8 |
| 81.10 | 4 | 4 0 0 |

Structural model:
```
data_Pr3MgHg12
_chemical_formula_sum 'Pr3 Mg1 Hg12'
_symmetry_space_group_name_H-M 'P 4/m m m'
_symmetry_Int_Tables_number 123
_symmetry_space_group_name_Hall '-P 4 2'
_cell_length_a 4.743
_cell_length_b 4.743
_cell_length_c 18.147
_cell_angle_alpha 90.00
_cell_angle_beta 90.00
_cell_angle_gamma 90.00
loop_
_atom_site_label
_atom_site_fract_x
_atom_site_fract_y
_atom_site_fract_z
Pr1 0.000 0.000 0.000
Pr2 0.000 0.000 0.265
Mg1 0.000 0.000 0.500
Hg1 0.000 0.500 0.130
Hg2 0.000 0.500 0.386
Hg3 0.500 0.500 0.000
Hg4 0.500 0.500 0.256
Hg5 0.500 0.500 0.500
```

=====

(12)
The following is a theoretical powder XRD pattern of Pr3Mg2Hg6. It was derived from a structure optimized by DFT (PBE), using Cu Kα X-rays.
No peak broadening, texture or thermal motion is included.

Top 10 peaks for 2θ from 10° to 90°, in order of rising 2θ:
| 2theta | I (rel.) | index |
| --- | --- | --- |
| 12.98 | 51 | 0 0 4 |
| 27.98 | 35 | 1 1 2 |
| 30.24 | 100 | 1 1 4 |
| 32.82 | 43 | 0 0 10 |
| 33.69 | 95 | 1 1 6 |
| 38.07 | 68 | 1 1 8 |
| 38.83 | 84 | 2 0 0 |
| 51.73 | 48 | 2 0 10 |
| 56.09 | 29 | 2 2 0 |
| 67.05 | 27 | 3 1 6 |

Structural model:
```
data_Pr3Mg2Hg6
_chemical_formula_sum 'Pr6 Mg4 Hg12'
_symmetry_space_group_name_H-M 'I 4/m m m'
_symmetry_Int_Tables_number 139
_symmetry_space_group_name_Hall '-I 4 2'
_cell_length_a 4.638
_cell_length_b 4.638
_cell_length_c 27.286
_cell_angle_alpha 90.00
_cell_angle_beta 90.00
_cell_angle_gamma 90.00
loop_
_atom_site_label
_atom_site_fract_x
_atom_site_fract_y
_atom_site_fract_z
Pr1 0.000 0.000 0.000
Pr2 0.000 0.000 0.198
Mg1 0.000 0.000 0.449
Hg1 0.000 0.000 0.314
Hg2 0.000 0.500 0.107
```